Structure and computed powder X-ray diffraction pattern of PPt (a cell relaxed with GGA-PBE; Cu Kα X-rays).

Crystal structure
Lattice parameters (Å, degrees): 10.2096 10.2096 3.8492 90.00 90.00 90.00
Space group P4/m (No. 83)
One atom of each set of equivalent atoms:
P1 0.0899 0.6634 0.0000 [4 per cell]
P2 0.2350 0.3728 0.5000 [4 per cell]
Pt1 0.1186 0.4261 0.0000 [4 per cell]
Pt2 0.2137 0.6090 0.5000 [4 per cell]

The 6 most intense peaks (10° ≤ 2θ ≤ 90°), low angle first:
d = 7.219 Å, 2θ 12.26, rel. 100.0
d = 4.566 Å, 2θ 19.44, rel. 27.9
d = 2.943 Å, 2θ 30.37, rel. 52.4
d = 2.832 Å, 2θ 31.60, rel. 24.2
d = 2.474 Å, 2θ 36.31, rel. 24.8
d = 1.964 Å, 2θ 46.23, rel. 30.2



Structure and computed powder X-ray diffraction pattern of PPt2 (a cell relaxed with GGA-PBE; Cu Kα X-rays).

Crystal structure
Lattice parameters (Å, degrees): 5.2516 5.5572 7.1288 90.00 111.78 90.00
Space group P2_1/c (No. 14)
One atom of each set of equivalent atoms:
P1 0.1584 0.1320 0.3790 [4 per cell]
Pt1 0.1525 0.7271 0.4546 [4 per cell]
Pt2 0.4256 0.1883 0.1810 [4 per cell]

The 6 most intense peaks (10° ≤ 2θ ≤ 90°), low angle first:
d = 2.844 Å, 2θ 31.46, rel. 87.2
d = 2.779 Å, 2θ 32.22, rel. 93.0
d = 2.443 Å, 2θ 36.79, rel. 87.2
d = 2.233 Å, 2θ 40.39, rel. 100.0
d = 2.174 Å, 2θ 41.55, rel. 62.5
d = 1.696 Å, 2θ 54.07, rel. 51.5



Structure and computed powder X-ray diffraction pattern of PPt8 (a cell relaxed with GGA-PBE; Cu Kα X-rays).

Crystal structure
Lattice parameters (Å, degrees): 8.4263 8.4263 3.9204 90.00 90.00 90.00
Space group I4/mmm (No. 139)
One atom of each set of equivalent atoms:
P1 0.0000 0.0000 0.0000 [2 per cell]
Pt1 0.0000 0.3304 0.0000 [8 per cell]
Pt2 0.1636 0.1636 0.5000 [8 per cell]

The 6 most intense peaks (10° ≤ 2θ ≤ 90°), low angle first:
d = 2.283 Å, 2θ 39.47, rel. 100.0
d = 1.986 Å, 2θ 45.68, rel. 33.1
d = 1.960 Å, 2θ 46.32, rel. 16.0
d = 1.395 Å, 2θ 67.09, rel. 21.3
d = 1.196 Å, 2θ 80.25, rel. 26.0
d = 1.185 Å, 2θ 81.18, rel. 12.8



Structure and computed powder X-ray diffraction pattern of PPt4 (a cell relaxed with GGA-PBE; Cu Kα X-rays).

Crystal structure
Lattice parameters (Å, degrees): 7.3710 7.3710 5.9407 90.00 90.00 90.00
Space group I4_1/amd (No. 141, origin choice 2)
One atom of each set of equivalent atoms:
P1 0.0000 0.2500 0.3750 [4 per cell]
Pt1 0.0000 0.0519 0.7242 [16 per cell]

The 6 most intense peaks (10° ≤ 2θ ≤ 90°), low angle first:
d = 2.882 Å, 2θ 31.03, rel. 18.9
d = 2.606 Å, 2θ 34.41, rel. 54.9
d = 2.313 Å, 2θ 38.94, rel. 100.0
d = 2.270 Å, 2θ 39.70, rel. 35.2
d = 1.933 Å, 2θ 47.01, rel. 22.6
d = 1.431 Å, 2θ 65.20, rel. 17.6



Structure and computed powder X-ray diffraction pattern of P4Pt5 (a cell relaxed with GGA-PBE; Cu Kα X-rays).

Crystal structure
Lattice parameters (Å, degrees): 10.2089 10.2089 3.1962 90.00 90.00 90.00
Space group I4/mmm (No. 139)
One atom of each set of equivalent atoms:
P1 0.0000 0.2450 0.0000 [8 per cell]
Pt1 0.0000 0.0000 0.0000 [2 per cell]
Pt2 0.1735 0.1735 0.5000 [8 per cell]

The 6 most intense peaks (10° ≤ 2θ ≤ 90°), low angle first:
d = 7.219 Å, 2θ 12.26, rel. 99.7
d = 5.104 Å, 2θ 17.37, rel. 21.8
d = 2.618 Å, 2θ 34.25, rel. 30.7
d = 2.406 Å, 2θ 37.37, rel. 47.2
d = 2.330 Å, 2θ 38.65, rel. 100.0
d = 1.374 Å, 2θ 68.26, rel. 28.4



Structure and computed powder X-ray diffraction pattern of P4Pt5 (a cell relaxed with GGA-PBE; Cu Kα X-rays).

Crystal structure
Lattice parameters (Å, degrees): 6.8920 6.8920 6.9971 90.00 90.00 120.00
Space group P6_3/mcm (No. 193)
One atom of each set of equivalent atoms:
P1 0.0000 0.0000 0.0000 [2 per cell]
P2 0.0000 0.4049 0.2500 [6 per cell]
Pt1 0.0000 0.2645 0.7500 [6 per cell]
Pt2 0.3333 0.6667 0.0000 [4 per cell]

The 6 most intense peaks (10° ≤ 2θ ≤ 90°), low angle first:
d = 3.091 Å, 2θ 28.88, rel. 50.1
d = 3.018 Å, 2θ 29.60, rel. 33.4
d = 2.455 Å, 2θ 36.60, rel. 100.0
d = 2.147 Å, 2θ 42.08, rel. 43.2
d = 1.990 Å, 2θ 45.60, rel. 33.5
d = 1.546 Å, 2θ 59.83, rel. 19.9



Structure and computed powder X-ray diffraction pattern of PPt4 (a cell relaxed with GGA-PBE; Cu Kα X-rays).

Crystal structure
Lattice parameters (Å, degrees): 5.7974 5.7974 4.7121 90.00 90.00 90.00
Space group I4/m (No. 87)
One atom of each set of equivalent atoms:
P1 0.0000 0.0000 0.0000 [2 per cell]
Pt1 0.1482 0.3180 0.5000 [8 per cell]

The 6 most intense peaks (10° ≤ 2θ ≤ 90°), low angle first:
d = 2.899 Å, 2θ 30.85, rel. 15.8
d = 2.356 Å, 2θ 38.20, rel. 26.0
d = 2.272 Å, 2θ 39.68, rel. 100.0
d = 1.833 Å, 2θ 49.73, rel. 15.6
d = 1.447 Å, 2θ 64.39, rel. 14.5
d = 1.343 Å, 2θ 70.04, rel. 19.2



Structure and computed powder X-ray diffraction pattern of Pu2P3Pt9 (a cell relaxed with GGA-PBE; Cu Kα X-rays).

Crystal structure
Lattice parameters (Å, degrees): 13.7805 7.9396 9.8207 90.00 118.68 90.00
Space group C2/c (No. 15)
One atom of each set of equivalent atoms:
Pu1 0.1718 0.0838 0.2488 [8 per cell]
P1 0.0973 0.2183 0.4925 [8 per cell]
P2 0.2500 0.2500 0.0000 [4 per cell]
Pt1 0.0000 0.3629 0.2500 [4 per cell]
Pt2 0.0640 0.0674 0.9178 [8 per cell]
Pt3 0.0987 0.3132 0.7196 [8 per cell]
Pt4 0.1141 0.3972 0.0599 [8 per cell]
Pt5 0.2218 0.4145 0.4144 [8 per cell]

The 6 most intense peaks (10° ≤ 2θ ≤ 90°), low angle first:
d = 3.974 Å, 2θ 22.37, rel. 25.8
d = 2.342 Å, 2θ 38.43, rel. 54.8
d = 2.327 Å, 2θ 38.70, rel. 54.4
d = 2.315 Å, 2θ 38.90, rel. 61.1
d = 2.294 Å, 2θ 39.27, rel. 100.0
d = 1.325 Å, 2θ 71.14, rel. 31.7



Structure and computed powder X-ray diffraction pattern of PuP2Pt4 (a cell relaxed with GGA-PBE; Cu Kα X-rays).

Crystal structure
Lattice parameters (Å, degrees): 7.7843 7.7843 3.8423 90.00 90.00 90.00
Space group P4_2/mnm (No. 136)
One atom of each set of equivalent atoms:
Pu1 0.0000 0.0000 0.0000 [2 per cell]
P1 0.2236 0.2236 0.5000 [4 per cell]
Pt1 0.0715 0.6816 0.5000 [8 per cell]

The 6 most intense peaks (10° ≤ 2θ ≤ 90°), low angle first:
d = 2.580 Å, 2θ 34.77, rel. 100.0
d = 2.462 Å, 2θ 36.50, rel. 37.6
d = 2.237 Å, 2θ 40.31, rel. 22.0
d = 2.073 Å, 2θ 43.67, rel. 19.7
d = 1.921 Å, 2θ 47.32, rel. 18.6
d = 1.443 Å, 2θ 64.59, rel. 21.6



Structure and computed powder X-ray diffraction pattern of RbP2Pt5 (a cell relaxed with GGA-PBE; Cu Kα X-rays).

Crystal structure
Lattice parameters (Å, degrees): 10.6861 7.0159 4.1209 90.00 112.32 90.00
Space group C2/m (No. 12)
One atom of each set of equivalent atoms:
Rb1 0.0000 0.0000 0.0000 [2 per cell]
P1 0.2374 0.5000 0.2388 [4 per cell]
Pt1 0.0000 0.5000 0.0000 [2 per cell]
Pt2 0.1608 0.3040 0.6609 [8 per cell]

The 6 most intense peaks (10° ≤ 2θ ≤ 90°), low angle first:
d = 5.721 Å, 2θ 15.49, rel. 33.7
d = 2.861 Å, 2θ 31.27, rel. 24.0
d = 2.580 Å, 2θ 34.77, rel. 100.0
d = 2.566 Å, 2θ 34.97, rel. 41.5
d = 2.060 Å, 2θ 43.94, rel. 25.7
d = 2.034 Å, 2θ 44.55, rel. 31.3



Structure and computed powder X-ray diffraction pattern of RbP3Pt6 (a cell relaxed with GGA-PBE; Cu Kα X-rays).

Crystal structure
Lattice parameters (Å, degrees): 6.3648 6.3877 6.3986 60.61 60.21 60.52
Space group P1 (No. 1)
One atom of each set of equivalent atoms:
Rb1 0.0000 0.0000 0.0000 [1 per cell]
P1 0.2842 0.2772 0.2852 [1 per cell]
P2 0.5570 0.5571 0.5654 [1 per cell]
P3 0.7971 0.7981 0.8013 [1 per cell]
Pt1 0.1896 0.4575 0.8867 [1 per cell]
Pt2 0.4565 0.8738 0.2018 [1 per cell]
Pt3 0.5109 0.5558 0.9752 [1 per cell]
Pt4 0.5598 0.9691 0.5133 [1 per cell]
Pt5 0.8766 0.1937 0.4629 [1 per cell]
Pt6 0.9753 0.5100 0.5587 [1 per cell]

The 6 most intense peaks (10° ≤ 2θ ≤ 90°), low angle first:
d = 3.200 Å, 2θ 27.88, rel. 53.8
d = 2.734 Å, 2θ 32.76, rel. 100.0
d = 2.627 Å, 2θ 34.14, rel. 52.9
d = 2.597 Å, 2θ 34.53, rel. 99.5
d = 2.261 Å, 2θ 39.87, rel. 48.4
d = 2.021 Å, 2θ 44.84, rel. 60.9



Structure and computed powder X-ray diffraction pattern of RbPRuPt (a cell relaxed with GGA-PBE; Cu Kα X-rays).

Crystal structure
Lattice parameters (Å, degrees): 3.8469 3.8469 12.9413 90.00 90.00 90.00
Space group P4/nmm (No. 129, origin choice 2)
One atom of each set of equivalent atoms:
Rb1 0.2500 0.2500 0.2258 [2 per cell]
P1 0.2500 0.2500 0.6010 [2 per cell]
Ru1 0.2500 0.7500 0.5000 [2 per cell]
Pt1 0.2500 0.7500 0.0000 [2 per cell]

The 6 most intense peaks (10° ≤ 2θ ≤ 90°), low angle first:
d = 6.471 Å, 2θ 13.69, rel. 92.7
d = 3.235 Å, 2θ 27.57, rel. 42.4
d = 2.508 Å, 2θ 35.81, rel. 100.0
d = 2.082 Å, 2θ 43.46, rel. 26.7
d = 1.923 Å, 2θ 47.26, rel. 28.3
d = 1.690 Å, 2θ 54.28, rel. 30.6



Structure and computed powder X-ray diffraction pattern of PPtRh (a cell relaxed with GGA-PBE; Cu Kα X-rays).

Crystal structure
Lattice parameters (Å, degrees): 5.8019 5.5675 5.5861 90.00 90.00 90.00
Space group Pcca (No. 54)
One atom of each set of equivalent atoms:
P1 0.0000 0.2302 0.2500 [4 per cell]
Pt1 0.2500 0.5000 0.0268 [4 per cell]
Rh1 0.2500 0.0000 0.4979 [4 per cell]

The 6 most intense peaks (10° ≤ 2θ ≤ 90°), low angle first:
d = 2.901 Å, 2θ 30.82, rel. 48.8
d = 2.793 Å, 2θ 32.04, rel. 40.6
d = 2.784 Å, 2θ 32.15, rel. 44.0
d = 2.010 Å, 2θ 45.10, rel. 100.0
d = 1.972 Å, 2θ 46.03, rel. 45.4
d = 1.631 Å, 2θ 56.43, rel. 33.5